1.
Computed XRD peak list of Th2Zn17 for CuKα, from a structure optimized by DFT (GGA-PBE).

Main lines, in order of rising 2θ (2θ = 15–90°):
28.18 deg, 3.167 Å, I = 46; 34.18 deg, 2.623 Å, I = 43; 35.42 deg, 2.534 Å, I = 25; 39.67 deg, 2.272 Å, I = 60; 39.97 deg, 2.256 Å, I = 100; 40.83 deg, 2.210 Å, I = 47; 41.06 deg, 2.198 Å, I = 17; 57.58 deg, 1.601 Å, I = 19; 58.25 deg, 1.584 Å, I = 26; 73.81 deg, 1.284 Å, I = 19

Cell and atoms:
Cell: 6.858 6.858 6.858 Å, 82.99 82.99 82.99°
Sites, in units of the cell vectors:
Th (0.163, 0.163, 0.163)
Th (0.837, 0.837, 0.837)
Zn (0.000, 0.500, 0.500)
Zn (0.149, 0.149, 0.661)
Zn (0.149, 0.661, 0.149)
Zn (0.207, 0.500, 0.793)
Zn (0.207, 0.793, 0.500)
Zn (0.339, 0.851, 0.851)
Zn (0.401, 0.401, 0.401)
Zn (0.500, 0.000, 0.500)
Zn (0.500, 0.207, 0.793)
Zn (0.500, 0.500, 0.000)
Zn (0.500, 0.793, 0.207)
Zn (0.599, 0.599, 0.599)
Zn (0.661, 0.149, 0.149)
Zn (0.793, 0.207, 0.500)
Zn (0.793, 0.500, 0.207)
Zn (0.851, 0.339, 0.851)
Zn (0.851, 0.851, 0.339)

=====

2.
Computed XRD peak list of KCaTbBiO6 for CuKα, from a structure optimized by DFT (GGA-PBE).

Main lines, in order of rising 2θ (2θ = 15–90°):
20.54 deg, 4.323 Å, I = 67; 29.22 deg, 3.057 Å, I = 100; 35.98 deg, 2.496 Å, I = 8; 41.79 deg, 2.162 Å, I = 33; 47.00 deg, 1.933 Å, I = 32; 51.80 deg, 1.765 Å, I = 41; 60.58 deg, 1.528 Å, I = 20; 64.69 deg, 1.441 Å, I = 16; 68.66 deg, 1.367 Å, I = 18; 83.71 deg, 1.155 Å, I = 22

Cell and atoms:
Cell: 6.114 6.114 6.114 Å, 60.00 60.00 60.00°
Sites, in units of the cell vectors:
K (0.000, 0.000, 0.000)
Ca (0.500, 0.500, 0.500)
Tb (0.250, 0.250, 0.250)
Bi (0.750, 0.750, 0.750)
O (0.507, 0.507, 0.993)
O (0.507, 0.993, 0.507)
O (0.507, 0.993, 0.993)
O (0.993, 0.507, 0.507)
O (0.993, 0.507, 0.993)
O (0.993, 0.993, 0.507)

=====

3.
Computed XRD peak list of MgMn2S4 for CuKα, from a structure optimized by DFT (GGA-PBE).

Main lines, in order of rising 2θ (2θ = 15–90°):
15.00 deg, 5.906 Å, I = 41; 15.43 deg, 5.743 Å, I = 27; 15.62 deg, 5.673 Å, I = 18; 35.89 deg, 2.502 Å, I = 100; 36.52 deg, 2.460 Å, I = 48; 50.55 deg, 1.806 Å, I = 16; 51.56 deg, 1.773 Å, I = 30; 52.72 deg, 1.736 Å, I = 45; 64.96 deg, 1.436 Å, I = 9; 65.86 deg, 1.418 Å, I = 14

Cell and atoms:
Cell: 6.949 6.949 7.225 Å, 119.94 119.94 59.93°
Sites, in units of the cell vectors:
Mg (0.000, 0.000, 0.000)
Mg (0.000, 0.000, 0.500)
Mn (0.000, 0.500, 0.000)
Mn (0.500, 0.000, 0.000)
Mn (0.500, 0.500, 0.000)
Mn (0.500, 0.500, 0.500)
S (0.252, 0.728, 0.229)
S (0.255, 0.255, 0.229)
S (0.260, 0.260, 0.788)
S (0.272, 0.748, 0.771)
S (0.728, 0.252, 0.229)
S (0.740, 0.740, 0.212)
S (0.745, 0.745, 0.771)
S (0.748, 0.272, 0.771)

=====

4.
Computed XRD peak list of NaSb3O8 for CuKα, from a structure optimized by DFT (GGA-PBE).

Main lines, in order of rising 2θ (2θ = 15–90°):
20.87 deg, 4.257 Å, I = 29; 23.98 deg, 3.711 Å, I = 42; 24.11 deg, 3.692 Å, I = 40; 29.45 deg, 3.033 Å, I = 95; 29.55 deg, 3.022 Å, I = 100; 34.07 deg, 2.632 Å, I = 32; 35.09 deg, 2.557 Å, I = 49; 42.13 deg, 2.145 Å, I = 29; 51.67 deg, 1.769 Å, I = 37; 52.53 deg, 1.742 Å, I = 30

Cell and atoms:
Cell: 7.575 5.263 15.457 Å, 90.00 107.17 90.00°
Sites, in units of the cell vectors:
Na (0.232, 0.240, 0.078)
Na (0.232, 0.260, 0.578)
Na (0.768, 0.740, 0.422)
Na (0.768, 0.760, 0.922)
Sb (0.013, 0.239, 0.338)
Sb (0.013, 0.261, 0.838)
Sb (0.260, 0.740, 0.416)
Sb (0.260, 0.760, 0.916)
Sb (0.478, 0.735, 0.165)
Sb (0.478, 0.765, 0.665)
Sb (0.522, 0.235, 0.335)
Sb (0.522, 0.265, 0.835)
Sb (0.740, 0.240, 0.084)
Sb (0.740, 0.260, 0.584)
Sb (0.987, 0.739, 0.162)
Sb (0.987, 0.761, 0.662)
O (0.025, 0.554, 0.407)
O (0.025, 0.946, 0.907)
O (0.090, 0.590, 0.784)
O (0.090, 0.910, 0.284)
O (0.145, 0.047, 0.448)
O (0.145, 0.453, 0.948)
O (0.225, 0.605, 0.157)
O (0.225, 0.895, 0.657)
O (0.278, 0.092, 0.842)
O (0.278, 0.408, 0.342)
O (0.370, 0.613, 0.540)
O (0.370, 0.887, 0.040)
O (0.414, 0.061, 0.217)
O (0.414, 0.439, 0.717)
O (0.474, 0.581, 0.899)
O (0.474, 0.919, 0.399)
O (0.526, 0.081, 0.601)
O (0.526, 0.419, 0.101)
O (0.586, 0.561, 0.283)
O (0.586, 0.939, 0.783)
O (0.630, 0.113, 0.960)
O (0.630, 0.387, 0.460)
O (0.722, 0.592, 0.658)
O (0.722, 0.908, 0.158)
O (0.775, 0.105, 0.343)
O (0.775, 0.395, 0.843)
O (0.855, 0.547, 0.052)
O (0.855, 0.953, 0.552)
O (0.910, 0.090, 0.716)
O (0.910, 0.410, 0.216)
O (0.975, 0.054, 0.093)
O (0.975, 0.446, 0.593)

=====

5.
Computed XRD peak list of RbSnF3 for CuKα, from a structure optimized by DFT (GGA-PBE).

Main lines, in order of rising 2θ (2θ = 15–90°):
16.25 deg, 5.455 Å, I = 15; 18.33 deg, 4.841 Å, I = 16; 25.70 deg, 3.467 Å, I = 100; 26.36 deg, 3.381 Å, I = 78; 37.15 deg, 2.420 Å, I = 50; 45.31 deg, 2.001 Å, I = 28; 45.72 deg, 1.985 Å, I = 51; 52.82 deg, 1.733 Å, I = 14; 59.97 deg, 1.542 Å, I = 18; 72.08 deg, 1.310 Å, I = 16

Cell and atoms:
Cell: 6.766 6.766 6.766 Å, 61.64 61.64 61.64°
Sites, in units of the cell vectors:
Rb (0.126, 0.126, 0.126)
Rb (0.874, 0.874, 0.874)
Sn (0.356, 0.356, 0.356)
Sn (0.644, 0.644, 0.644)
F (0.048, 0.251, 0.525)
F (0.251, 0.525, 0.048)
F (0.475, 0.952, 0.749)
F (0.525, 0.048, 0.251)
F (0.749, 0.475, 0.952)
F (0.952, 0.749, 0.475)

=====

6.
Computed XRD peak list of AlPI8 for CuKα, from a structure optimized by DFT (GGA-PBE).

Main lines, in order of rising 2θ (2θ = 15–90°):
15.56 deg, 5.696 Å, I = 61; 19.02 deg, 4.665 Å, I = 64; 19.82 deg, 4.480 Å, I = 70; 24.03 deg, 3.704 Å, I = 62; 24.17 deg, 3.682 Å, I = 64; 24.47 deg, 3.637 Å, I = 99; 24.61 deg, 3.618 Å, I = 80; 25.35 deg, 3.514 Å, I = 100; 27.13 deg, 3.287 Å, I = 76; 29.82 deg, 2.997 Å, I = 63

Cell and atoms:
Cell: 11.403 11.196 16.231 Å, 90.00 90.00 90.00°
Sites, in units of the cell vectors:
Al (0.080, 0.008, 0.000)
Al (0.420, 0.508, 0.500)
Al (0.580, 0.492, 0.000)
Al (0.920, 0.992, 0.500)
P (0.042, 0.515, 0.213)
P (0.458, 0.015, 0.713)
P (0.542, 0.985, 0.213)
P (0.958, 0.485, 0.713)
I (0.014, 0.302, 0.237)
I (0.031, 0.370, 0.833)
I (0.047, 0.961, 0.155)
I (0.079, 0.428, 0.592)
I (0.106, 0.013, 0.417)
I (0.170, 0.218, 0.986)
I (0.233, 0.853, 0.948)
I (0.246, 0.041, 0.687)
I (0.254, 0.541, 0.187)
I (0.267, 0.353, 0.448)
I (0.330, 0.718, 0.486)
I (0.394, 0.513, 0.917)
I (0.421, 0.928, 0.092)
I (0.453, 0.461, 0.655)
I (0.469, 0.870, 0.333)
I (0.486, 0.802, 0.737)
I (0.514, 0.198, 0.237)
I (0.531, 0.130, 0.833)
I (0.547, 0.539, 0.155)
I (0.579, 0.072, 0.592)
I (0.606, 0.487, 0.417)
I (0.670, 0.282, 0.986)
I (0.733, 0.647, 0.948)
I (0.746, 0.459, 0.687)
I (0.754, 0.959, 0.187)
I (0.767, 0.147, 0.448)
I (0.830, 0.782, 0.486)
I (0.894, 0.987, 0.917)
I (0.921, 0.572, 0.092)
I (0.953, 0.039, 0.655)
I (0.969, 0.630, 0.333)
I (0.986, 0.698, 0.737)

=====

7.
Computed XRD peak list of Co5Si2N6 for CuKα, from a structure optimized by DFT (GGA-PBE).

Main lines, in order of rising 2θ (2θ = 15–90°):
17.23 deg, 5.148 Å, I = 19; 21.12 deg, 4.206 Å, I = 16; 24.45 deg, 3.641 Å, I = 19; 34.83 deg, 2.576 Å, I = 22; 35.96 deg, 2.498 Å, I = 100; 37.02 deg, 2.428 Å, I = 28; 39.12 deg, 2.303 Å, I = 16; 44.88 deg, 2.020 Å, I = 57; 50.09 deg, 1.821 Å, I = 22; 57.29 deg, 1.608 Å, I = 20

Cell and atoms:
Cell: 10.295 10.295 5.154 Å, 90.00 90.00 90.00°
Sites, in units of the cell vectors:
Co (0.000, 0.500, 0.000)
Co (0.000, 0.500, 0.500)
Co (0.077, 0.089, 0.304)
Co (0.089, 0.923, 0.696)
Co (0.110, 0.686, 0.225)
Co (0.186, 0.610, 0.775)
Co (0.314, 0.110, 0.775)
Co (0.390, 0.186, 0.225)
Co (0.411, 0.423, 0.696)
Co (0.423, 0.589, 0.304)
Co (0.500, 0.000, 0.000)
Co (0.500, 0.000, 0.500)
Co (0.577, 0.411, 0.304)
Co (0.589, 0.577, 0.696)
Co (0.610, 0.814, 0.225)
Co (0.686, 0.890, 0.775)
Co (0.814, 0.390, 0.775)
Co (0.890, 0.314, 0.225)
Co (0.911, 0.077, 0.696)
Co (0.923, 0.911, 0.304)
Si (0.116, 0.266, 0.760)
Si (0.234, 0.384, 0.240)
Si (0.266, 0.884, 0.240)
Si (0.384, 0.766, 0.760)
Si (0.616, 0.234, 0.760)
Si (0.734, 0.116, 0.240)
Si (0.766, 0.616, 0.240)
Si (0.884, 0.734, 0.760)
N (0.027, 0.677, 0.898)
N (0.103, 0.866, 0.340)
N (0.131, 0.369, 0.500)
N (0.134, 0.103, 0.660)
N (0.177, 0.527, 0.102)
N (0.229, 0.271, 0.000)
N (0.271, 0.771, 0.000)
N (0.323, 0.027, 0.102)
N (0.366, 0.603, 0.660)
N (0.369, 0.869, 0.500)
N (0.397, 0.366, 0.340)
N (0.473, 0.177, 0.898)
N (0.527, 0.823, 0.898)
N (0.603, 0.634, 0.340)
N (0.631, 0.131, 0.500)
N (0.634, 0.397, 0.660)
N (0.677, 0.973, 0.102)
N (0.729, 0.229, 0.000)
N (0.771, 0.729, 0.000)
N (0.823, 0.473, 0.102)
N (0.866, 0.897, 0.660)
N (0.869, 0.631, 0.500)
N (0.897, 0.134, 0.340)
N (0.973, 0.323, 0.898)

=====

Q: What is the formula in the seventh record?
A: Co5Si2N6

=====

Q: What is the formula in the fourth record?
A: NaSb3O8